This entry pairs a crystal structure of TaCrNi2O6 with its simulated powder X-ray diffraction pattern. Radiation: Cu Ka. Structure: a DFT-relaxed cell (GGA+U, Alexandria).
Intensities are scaled so that the largest is 100.

Main lines, in order of rising 2θ (10 to 80 degrees two-theta):
Position (°2θ)  d [Å]  I/Imax
19.0  4.660  21
21.0  4.236  54
23.7  3.751  65
32.6  2.747  100
35.0  2.567  96
38.0  2.367  12
40.1  2.248  28
48.5  1.875  39
53.1  1.725  63
61.2  1.514  35
62.7  1.482  31
70.6  1.334  16

a b c (Å): 5.522 5.522 5.522
angles (deg): 55.39 55.39 55.39
Fractional coordinates of all 10 atoms:
Ta 0.000 0.000 0.000
Cr 0.498 0.498 0.498
Ni 0.296 0.296 0.296
Ni 0.800 0.800 0.800
O 0.106 0.381 0.722
O 0.219 0.882 0.610
O 0.381 0.722 0.106
O 0.610 0.219 0.882
O 0.722 0.106 0.381
O 0.882 0.610 0.219



This entry pairs a crystal structure of CrTcNi2O6 with its simulated powder X-ray diffraction pattern. Radiation: Cu Ka. Structure: a DFT-relaxed cell (GGA+U, Alexandria).
Intensities are scaled so that the largest is 100.

Main lines, in order of rising 2θ (10 to 80 degrees two-theta):
Position (°2θ)  d [Å]  I/Imax
16.6  5.334  10
19.3  4.596  53
30.7  2.916  100
33.6  2.667  45
46.3  1.962  39
48.3  1.886  35
52.4  1.745  12
52.6  1.741  9
58.3  1.583  30
69.1  1.360  21
70.6  1.333  9
70.9  1.328  16

a b c (Å): 5.334 5.334 4.596
angles (deg): 90.00 90.00 90.00
Fractional coordinates of all 10 atoms:
Cr 0.000 0.000 0.000
Tc 0.500 0.500 0.944
Ni 0.000 0.500 0.285
Ni 0.500 0.000 0.285
O 0.000 0.000 0.603
O 0.260 0.260 0.119
O 0.260 0.740 0.119
O 0.500 0.500 0.578
O 0.740 0.260 0.119
O 0.740 0.740 0.119